Record 1
For Rb2TaCuH6, a DFT-relaxed cell (GGA-PBE, OQMD) gives the theoretical powder X-ray diffraction pattern in this record (Cu Kα, 1.54184 Å).

The 10 most intense peaks (10 to 90 degrees two-theta), sorted by position:
d = 6.564 Å, I = 23; d = 4.295 Å, I = 14; d = 4.082 Å, I = 18; d = 3.065 Å, I = 100; d = 2.480 Å, I = 54; d = 2.188 Å, I = 11; d = 1.978 Å, I = 14; d = 1.928 Å, I = 27; d = 1.641 Å, I = 29; d = 1.522 Å, I = 25

Atomic structure:
Lattice parameters (Å, degrees): 4.959 4.959 13.128 90.00 90.00 120.00
Element x y z (fractional)
Rb  0.333  0.667  0.072
Rb  0.333  0.667  0.428
Rb  0.667  0.333  0.572
Rb  0.667  0.333  0.928
Ta  0.333  0.667  0.750
Ta  0.667  0.333  0.250
Cu  0.000  0.000  0.250
Cu  0.000  0.000  0.750
H  0.171  0.342  0.657
H  0.171  0.342  0.843
H  0.171  0.829  0.657
H  0.171  0.829  0.843
H  0.342  0.171  0.157
H  0.342  0.171  0.343
H  0.658  0.829  0.657
H  0.658  0.829  0.843
H  0.829  0.171  0.157
H  0.829  0.171  0.343
H  0.829  0.658  0.157
H  0.829  0.658  0.343


Record 2
For LaPrMg6Ge3, a DFT-relaxed cell (GGA-PBE, OQMD) gives the theoretical powder X-ray diffraction pattern in this record (Cu Kα, 1.54184 Å).

The 10 most intense peaks (10 to 90 degrees two-theta), sorted by position:
d = 7.138 Å, I = 35; d = 4.121 Å, I = 25; d = 2.994 Å, I = 100; d = 2.761 Å, I = 27; d = 2.698 Å, I = 18; d = 2.379 Å, I = 34; d = 2.294 Å, I = 31; d = 1.863 Å, I = 18; d = 1.607 Å, I = 20; d = 1.466 Å, I = 31

Atomic structure:
Lattice parameters (Å, degrees): 8.243 8.243 4.358 90.00 90.00 120.00
Element x y z (fractional)
La  0.000  0.000  0.000
Pr  0.667  0.333  0.000
Mg  0.044  0.666  0.500
Mg  0.128  0.463  0.000
Mg  0.334  0.378  0.500
Mg  0.335  0.872  0.000
Mg  0.537  0.665  0.000
Mg  0.622  0.956  0.500
Ge  0.334  0.057  0.500
Ge  0.723  0.666  0.500
Ge  0.943  0.277  0.500


Record 3
For Nb4Co5As5, a DFT-relaxed cell (GGA-PBE, OQMD) gives the theoretical powder X-ray diffraction pattern in this record (Cu Kα, 1.54184 Å).

The 10 most intense peaks (10 to 90 degrees two-theta), sorted by position:
d = 3.268 Å, I = 38; d = 2.849 Å, I = 13; d = 2.821 Å, I = 26; d = 2.005 Å, I = 100; d = 1.995 Å, I = 48; d = 1.703 Å, I = 9; d = 1.634 Å, I = 10; d = 1.411 Å, I = 14; d = 1.159 Å, I = 15; d = 1.154 Å, I = 29

Atomic structure:
Lattice parameters (Å, degrees): 6.922 6.922 6.922 99.75 99.75 131.40
Element x y z (fractional)
Nb  0.096  0.698  0.798
Nb  0.302  0.100  0.398
Nb  0.702  0.904  0.602
Nb  0.900  0.298  0.202
Co  0.029  0.344  0.897
Co  0.250  0.750  0.500
Co  0.447  0.132  0.103
Co  0.656  0.553  0.685
Co  0.868  0.971  0.315
As  0.000  0.000  0.000
As  0.214  0.407  0.619
As  0.404  0.786  0.193
As  0.593  0.211  0.807
As  0.789  0.596  0.381


Record 4
For Sc4Co4Ge7, a DFT-relaxed cell (GGA-PBE, OQMD) gives the theoretical powder X-ray diffraction pattern in this record (Cu Kα, 1.54184 Å).

The 10 most intense peaks (10 to 90 degrees two-theta), sorted by position:
d = 2.364 Å, I = 100; d = 2.342 Å, I = 18; d = 2.219 Å, I = 55; d = 2.208 Å, I = 27; d = 2.053 Å, I = 19; d = 2.006 Å, I = 22; d = 1.961 Å, I = 23; d = 1.739 Å, I = 23; d = 1.457 Å, I = 20; d = 1.182 Å, I = 15

Atomic structure:
Lattice parameters (Å, degrees): 9.725 9.725 9.725 94.15 94.15 148.78
Element x y z (fractional)
Sc  0.000  0.196  0.196
Sc  0.000  0.804  0.804
Sc  0.196  0.000  0.196
Sc  0.360  0.360  0.721
Sc  0.360  0.640  0.000
Sc  0.640  0.360  0.000
Sc  0.640  0.640  0.279
Sc  0.804  0.000  0.804
Co  0.102  0.602  0.204
Co  0.102  0.898  0.500
Co  0.398  0.602  0.500
Co  0.398  0.898  0.796
Co  0.602  0.102  0.204
Co  0.602  0.398  0.500
Co  0.898  0.102  0.500
Co  0.898  0.398  0.796
Ge  0.000  0.406  0.406
Ge  0.000  0.594  0.594
Ge  0.207  0.207  0.414
Ge  0.207  0.793  0.000
Ge  0.209  0.500  0.709
Ge  0.250  0.250  0.000
Ge  0.406  0.000  0.406
Ge  0.500  0.209  0.709
Ge  0.500  0.791  0.291
Ge  0.594  0.000  0.594
Ge  0.750  0.750  0.000
Ge  0.791  0.500  0.291
Ge  0.793  0.207  0.000
Ge  0.793  0.793  0.586


Record 5
For ZnIr9, a DFT-relaxed cell (GGA-PBE, OQMD) gives the theoretical powder X-ray diffraction pattern in this record (Cu Kα, 1.54184 Å).

The 10 most intense peaks (10 to 90 degrees two-theta), sorted by position:
d = 2.251 Å, I = 100; d = 2.194 Å, I = 39; d = 1.970 Å, I = 12; d = 1.939 Å, I = 46; d = 1.897 Å, I = 12; d = 1.382 Å, I = 15; d = 1.371 Å, I = 15; d = 1.356 Å, I = 16; d = 1.171 Å, I = 26; d = 1.160 Å, I = 13

Atomic structure:
Lattice parameters (Å, degrees): 2.742 2.742 51.221 90.00 90.00 90.00
Element x y z (fractional)
Zn  0.250  0.250  0.144
Zn  0.750  0.750  0.856
Ir  0.250  0.250  0.217
Ir  0.250  0.250  0.293
Ir  0.250  0.250  0.368
Ir  0.250  0.250  0.444
Ir  0.250  0.250  0.519
Ir  0.250  0.250  0.594
Ir  0.250  0.250  0.670
Ir  0.250  0.250  0.745
Ir  0.250  0.250  0.820
Ir  0.750  0.750  0.180
Ir  0.750  0.750  0.255
Ir  0.750  0.750  0.330
Ir  0.750  0.750  0.406
Ir  0.750  0.750  0.481
Ir  0.750  0.750  0.556
Ir  0.750  0.750  0.632
Ir  0.750  0.750  0.707
Ir  0.750  0.750  0.783


Record 6
For KCu3PtSe4, a DFT-relaxed cell (GGA-PBE, OQMD) gives the theoretical powder X-ray diffraction pattern in this record (Cu Kα, 1.54184 Å).

The 10 most intense peaks (10 to 90 degrees two-theta), sorted by position:
d = 6.133 Å, I = 91; d = 4.336 Å, I = 34; d = 3.541 Å, I = 48; d = 2.743 Å, I = 22; d = 2.504 Å, I = 19; d = 2.168 Å, I = 100; d = 2.044 Å, I = 23; d = 1.849 Å, I = 19; d = 1.701 Å, I = 22; d = 1.252 Å, I = 28

Atomic structure:
Lattice parameters (Å, degrees): 6.133 6.133 6.133 90.00 90.00 90.00
Element x y z (fractional)
K  0.000  0.000  0.000
Cu  0.000  0.500  0.500
Cu  0.500  0.000  0.500
Cu  0.500  0.500  0.000
Pt  0.500  0.500  0.500
Se  0.273  0.273  0.273
Se  0.273  0.727  0.727
Se  0.727  0.273  0.727
Se  0.727  0.727  0.273